[1]
Starting from a DFT-relaxed cell (PBE, the Materials Project), the PXRD pattern of CsB3H3 was simulated for λ = 1.5418 Å (Cu Kα).
Intensities are scaled so that the largest is 100.

Lattice parameters (Å, degrees): 6.880 6.880 6.880 60.00 60.00 60.00
Fractional coordinates of all 14 atoms:
Cs 0.250 0.250 0.250
Cs 0.750 0.750 0.750
B 0.126 0.126 0.874
B 0.126 0.874 0.126
B 0.126 0.874 0.874
B 0.874 0.126 0.126
B 0.874 0.126 0.874
B 0.874 0.874 0.126
H 0.250 0.250 0.750
H 0.250 0.750 0.250
H 0.250 0.750 0.750
H 0.750 0.250 0.250
H 0.750 0.250 0.750
H 0.750 0.750 0.250

Principal peaks in the range 2θ from 15° to 90°, sorted by position:
two_theta, intensity
18.2, 71
25.9, 100
31.9, 38
37.0, 21
41.5, 49
45.7, 33
53.3, 11
56.8, 28
60.1, 18
63.4, 15
72.7, 17
81.6, 14



[2]
Starting from a DFT-relaxed cell (PBE, the Materials Project), the PXRD pattern of U2S3 was simulated for λ = 1.5418 Å (Cu Kα).
Intensities are scaled so that the largest is 100.

Lattice parameters (Å, degrees): 10.510 3.804 10.445 90.00 90.00 90.00
Fractional coordinates of all 20 atoms:
U 0.010 0.250 0.183
U 0.187 0.250 0.509
U 0.313 0.750 0.009
U 0.490 0.750 0.683
U 0.510 0.250 0.317
U 0.687 0.250 0.991
U 0.813 0.750 0.491
U 0.990 0.750 0.817
S 0.052 0.750 0.369
S 0.127 0.250 0.946
S 0.226 0.750 0.704
S 0.274 0.250 0.204
S 0.373 0.750 0.446
S 0.448 0.250 0.869
S 0.552 0.750 0.131
S 0.627 0.250 0.554
S 0.726 0.750 0.796
S 0.774 0.250 0.296
S 0.873 0.750 0.054
S 0.948 0.250 0.631

Principal peaks in the range 2θ from 15° to 90°, sorted by position:
two_theta, intensity
24.0, 100
24.9, 42
26.3, 53
26.8, 70
27.0, 65
29.0, 31
30.3, 93
33.8, 34
36.0, 53
45.4, 37
47.8, 31
50.9, 31



[3]
Starting from a DFT-relaxed cell (PBE, the Materials Project), the PXRD pattern of ScO2 was simulated for λ = 1.5418 Å (Cu Kα).
Intensities are scaled so that the largest is 100.

Lattice parameters (Å, degrees): 10.294 3.247 5.282 90.00 90.00 90.00
Fractional coordinates of all 12 atoms:
Sc 0.160 0.250 0.105
Sc 0.340 0.750 0.605
Sc 0.660 0.250 0.395
Sc 0.840 0.750 0.895
O 0.047 0.750 0.883
O 0.215 0.750 0.309
O 0.285 0.250 0.809
O 0.453 0.250 0.383
O 0.547 0.750 0.617
O 0.715 0.750 0.191
O 0.785 0.250 0.691
O 0.953 0.250 0.117

Principal peaks in the range 2θ from 15° to 90°, sorted by position:
two_theta, intensity
17.2, 29
18.9, 100
24.1, 38
31.1, 16
32.6, 15
33.5, 50
38.9, 29
45.1, 32
52.0, 20
55.7, 17
56.7, 30
59.7, 15



[4]
Starting from a DFT-relaxed cell (PBE, the Materials Project), the PXRD pattern of Sm5Mg was simulated for λ = 1.5418 Å (Cu Kα).
Intensities are scaled so that the largest is 100.

Lattice parameters (Å, degrees): 5.757 9.332 9.332 22.53 90.00 90.00
Fractional coordinates of all 6 atoms:
Sm 0.000 0.000 0.000
Sm 0.000 0.327 0.327
Sm 0.500 0.118 0.118
Sm 0.500 0.448 0.448
Sm 0.500 0.778 0.778
Mg 0.000 0.666 0.666

Principal peaks in the range 2θ from 15° to 90°, sorted by position:
two_theta, intensity
28.5, 19
29.3, 15
31.1, 35
32.6, 100
33.2, 37
42.7, 13
43.2, 11
50.0, 9
51.4, 16
56.2, 21
60.1, 11
61.4, 32



[5]
Starting from a DFT-relaxed cell (PBE, the Materials Project), the PXRD pattern of Mn2AlCo was simulated for λ = 1.5418 Å (Cu Kα).
Intensities are scaled so that the largest is 100.

Lattice parameters (Å, degrees): 4.060 4.060 4.060 60.00 60.00 60.00
Fractional coordinates of all 4 atoms:
Mn 0.000 0.000 0.000
Mn 0.250 0.250 0.250
Al 0.750 0.750 0.750
Co 0.500 0.500 0.500

Principal peaks in the range 2θ from 15° to 90°, sorted by position:
two_theta, intensity
26.9, 6
31.2, 4
44.6, 100
52.9, 2
55.4, 1
65.0, 15
71.6, 1
73.8, 1
82.2, 29
88.5, 1



[6]
Starting from a DFT-relaxed cell (PBE, the Materials Project), the PXRD pattern of BaYCu4O7 was simulated for λ = 1.5418 Å (Cu Kα).
Intensities are scaled so that the largest is 100.

Lattice parameters (Å, degrees): 6.311 6.311 10.456 90.00 90.00 120.00
Fractional coordinates of all 26 atoms:
Ba 0.333 0.667 0.000
Ba 0.667 0.333 0.500
Y 0.333 0.667 0.395
Y 0.667 0.333 0.895
Cu 0.000 0.000 0.456
Cu 0.000 0.000 0.956
Cu 0.168 0.336 0.706
Cu 0.168 0.832 0.706
Cu 0.336 0.168 0.206
Cu 0.664 0.832 0.706
Cu 0.832 0.168 0.206
Cu 0.832 0.664 0.206
O 0.000 0.000 0.271
O 0.000 0.000 0.771
O 0.017 0.509 0.782
O 0.164 0.328 0.523
O 0.164 0.836 0.523
O 0.328 0.164 0.023
O 0.491 0.509 0.782
O 0.491 0.983 0.782
O 0.509 0.017 0.282
O 0.509 0.491 0.282
O 0.672 0.836 0.523
O 0.836 0.164 0.023
O 0.836 0.672 0.023
O 0.983 0.491 0.282

Principal peaks in the range 2θ from 15° to 90°, sorted by position:
two_theta, intensity
28.3, 35
30.4, 59
33.2, 100
33.9, 75
34.3, 20
51.4, 26
53.2, 25
55.3, 39
58.5, 35
63.3, 17
69.6, 13
83.1, 13



[7]
Starting from a DFT-relaxed cell (PBE, the Materials Project), the PXRD pattern of HfMg6Mo was simulated for λ = 1.5418 Å (Cu Kα).
Intensities are scaled so that the largest is 100.

Lattice parameters (Å, degrees): 4.902 6.355 6.355 57.44 90.00 90.00
Fractional coordinates of all 8 atoms:
Hf 0.000 0.000 0.000
Mg 0.000 0.472 0.472
Mg 0.000 0.473 0.987
Mg 0.000 0.987 0.473
Mg 0.500 0.123 0.631
Mg 0.500 0.629 0.629
Mg 0.500 0.631 0.123
Mo 0.500 0.104 0.104

Principal peaks in the range 2θ from 15° to 90°, sorted by position:
two_theta, intensity
15.9, 42
16.6, 100
24.2, 17
28.1, 15
33.5, 37
33.6, 25
36.7, 28
37.1, 49
38.3, 48
40.5, 22
47.2, 18
50.5, 23